This entry pairs a crystal structure of LiVP3H8O13 with its computed X-ray diffraction stick pattern. Radiation: a wavelength of 1.5418 Å. Structure: the GGA+U geometry in Alexandria.
Kinematic intensities with the Lorentz-polarization factor, no thermal factor.

Structural model:
a b c (Å): 7.0888 7.6010 10.1353
angles (deg): 85.61 78.42 79.42
Space group P-1 (No. 2)
Unique sites:
Li (0.0000, 0.0000, 0.0000)
Li (0.0000, 0.5000, 0.5000)
V (0.2387, 0.1809, 0.2096)
P (0.2489, 0.8206, 0.4626)
P (0.2980, 0.7968, 0.7431)
P (0.4166, 0.5341, 0.2776)
H (0.0752, 0.2828, 0.7962)
H (0.0964, 0.6301, 0.0899)
H (0.1271, 0.2325, 0.5767)
H (0.1553, 0.3365, 0.9790)
H (0.3100, 0.8495, 0.1058)
H (0.3113, 0.2986, 0.6117)
H (0.3519, 0.9622, 0.9706)
H (0.3673, 0.3781, 0.9799)
O (0.0172, 0.2720, 0.8951)
O (0.0728, 0.7364, 0.5150)
O (0.0846, 0.8331, 0.8046)
O (0.1691, 0.3095, 0.6354)
O (0.2388, 0.3727, 0.0396)
O (0.2418, 0.9782, 0.3667)
O (0.2619, 0.4190, 0.3264)
O (0.2728, 0.9713, 0.0634)
O (0.3404, 0.8692, 0.5869)
O (0.3655, 0.5823, 0.7317)
O (0.4154, 0.6437, 0.1480)
O (0.4272, 0.6615, 0.3973)
O (0.4373, 0.8687, 0.8117)

The 10 most intense peaks (2θ from 5° to 70°), by intensity:
- 30.00 deg, I 100, (0 1 -3)
- 26.73 deg, I 85, (2 1 0)
- 15.14 deg, I 81, (0 1 -1)
- 25.85 deg, I 75, (0 2 -1)
- 15.99 deg, I 68, (1 1 0)
- 14.55 deg, I 65, (0 1 1)
- 29.06 deg, I 55, (2 1 2)
- 26.05 deg, I 53, (2 0 0)
- 17.88 deg, I 50, (0 0 2)
- 21.91 deg, I 50, (0 1 -2)